Starting from a GGA-PBE-relaxed structure, the XRD peak list of PrSm2Hg4 was computed for Cu Kα (λ = 1.5418 Å).
No peak broadening, texture or thermal motion is included.

Most intense lines, 5° ≤ 2θ ≤ 70°, in order of rising 2θ:
2θ/deg, I (rel.), h k l
23.8, 20, 1 0 4
25.8, 9, 0 1 5
33.3, 100, 0 1 8
34.5, 96, 1 1 0
48.7, 35, 2 0 8
54.1, 6, 1 1 12
58.7, 17, 1 0 16
61.0, 36, 1 2 8
61.8, 18, 3 0 0
69.9, 10, 0 2 16

Crystal structure
Cell lengths 5.2006, 5.2006, 26.8516 Å; angles 90.00, 90.00, 120.00 degrees
Space group R-3m (No. 166, hexagonal axes)
Asymmetric unit:
Pr (0.0000, 0.0000, 0.0000)
Sm (0.0000, 0.0000, 0.2424)
Hg (0.0000, 0.0000, 0.1265)
Hg (0.0000, 0.0000, 0.3798)

=====

Starting from a GGA-PBE-relaxed structure, the XRD peak list of CeHoZr2N4 was computed for Cu Kα (λ = 1.5418 Å).
No peak broadening, texture or thermal motion is included.

Most intense lines, 5° ≤ 2θ ≤ 70°, in order of rising 2θ:
2θ/deg, I (rel.), h k l
20.8, 10, 1 0 1
32.4, 100, 1 1 2
33.8, 4, 1 0 3
37.6, 78, 2 0 0
43.4, 3, 2 1 1
51.4, 3, 2 1 3
54.3, 52, 2 2 0
64.6, 43, 1 1 6
65.5, 2, 3 0 3
67.9, 17, 2 2 4

Crystal structure
Cell lengths 4.782, 4.782, 9.565 Å; angles 90.00, 90.00, 90.00 degrees
Space group I-4m2 (No. 119)
Asymmetric unit:
Ce (0.000, 0.000, 0.000)
Ho (0.000, 0.500, 0.250)
Zr (0.000, 0.000, 0.500)
Zr (0.000, 0.500, 0.750)
N (0.000, 0.000, 0.256)
N (0.000, 0.500, 0.505)

=====

Starting from a GGA-PBE-relaxed structure, the XRD peak list of LiSc4Cr was computed for Cu Kα (λ = 1.5418 Å).
No peak broadening, texture or thermal motion is included.

Most intense lines, 5° ≤ 2θ ≤ 70°, in order of rising 2θ:
2θ/deg, I (rel.), h k l
18.5, 38, 1 1 1
21.4, 11, 2 0 0
30.4, 15, 2 2 0
35.9, 100, 3 1 1
37.5, 54, 2 2 2
43.6, 11, 4 0 0
47.7, 7, 3 3 1
49.0, 5, 4 2 0
57.7, 29, 3 3 3
63.3, 25, 4 4 0

Crystal structure
Cell lengths 8.308, 8.308, 8.308 Å; angles 90.00, 90.00, 90.00 degrees
Space group F-43m (No. 216)
Asymmetric unit:
Li (0.000, 0.000, 0.000)
Sc (0.124, 0.124, 0.624)
Cr (0.250, 0.250, 0.250)

=====

Starting from a GGA-PBE-relaxed structure, the XRD peak list of K4Ce3NpSe8 was computed for Cu Kα (λ = 1.5418 Å).
No peak broadening, texture or thermal motion is included.

Most intense lines, 5° ≤ 2θ ≤ 70°, in order of rising 2θ:
2θ/deg, I (rel.), h k l
11.1, 68, 0 0 1
26.6, 10, 2 0 1
33.1, 100, 2 0 2
34.3, 51, 2 2 0
36.1, 17, 2 2 1
41.9, 23, 2 0 3
49.2, 18, 4 0 0
58.3, 14, 2 2 4
60.6, 34, 4 2 2
66.6, 12, 4 2 3

Crystal structure
Cell lengths 7.403, 7.403, 7.950 Å; angles 90.00, 90.00, 90.00 degrees
Space group P4/mmm (No. 123)
Asymmetric unit:
K (0.000, 0.000, 0.000)
K (0.000, 0.500, 0.000)
K (0.500, 0.500, 0.000)
Ce (0.000, 0.000, 0.500)
Ce (0.000, 0.500, 0.500)
Np (0.500, 0.500, 0.500)
Se (0.252, 0.252, 0.289)